The following is a theoretical PXRD pattern of Ca4Tl15Cd. It was derived from DFT lattice parameters and positions (PBE), using Cu Ka.

Most intense lines, 10° ≤ 2θ ≤ 80°, sorted by position:
h k l  Position (°2θ)  I/Imax
1 0 0  18.22  13
1 1 0  25.88  12
1 1 5  31.83  100
2 0 0  36.92  51
2 1 0  41.47  7
1 1 10  45.64  5
2 2 0  53.21  36
1 1 15  63.26  14
3 1 5  63.40  28
2 2 10  66.52  12

Cell: 4.865 4.865 24.388 Å, 90.00 90.00 90.00°
Fractional coordinates of all 20 atoms:
Ca1 0.000 0.000 0.099
Ca2 0.000 0.000 0.297
Ca3 0.000 0.000 0.703
Ca4 0.000 0.000 0.901
Tl1 0.000 0.500 0.000
Tl2 0.000 0.500 0.199
Tl3 0.000 0.500 0.401
Tl4 0.000 0.500 0.599
Tl5 0.000 0.500 0.801
Tl6 0.500 0.000 0.000
Tl7 0.500 0.000 0.199
Tl8 0.500 0.000 0.401
Tl9 0.500 0.000 0.599
Tl10 0.500 0.000 0.801
Tl11 0.500 0.500 0.099
Tl12 0.500 0.500 0.298
Tl13 0.500 0.500 0.500
Tl14 0.500 0.500 0.702
Tl15 0.500 0.500 0.901
Cd1 0.000 0.000 0.500